For Nd5Dy2Ga5, a crystal structure in Alexandria, relaxed with GGA-PBE gives the calculated powder X-ray diffraction pattern in this record (Cu Kα X-rays).

Structure:
Cell: 11.8898 4.6155 13.4200 Å, 90.00 114.82 90.00°
Space group C2/m (No. 12)
Inequivalent atoms, fractional coordinates:
Nd: 0.0000 0.0000 0.0000
Nd: 0.1651 0.0000 0.5308
Nd: 0.2253 0.0000 0.8106
Dy: 0.0208 0.5000 0.2845
Ga: 0.0000 0.5000 0.5000
Ga: 0.1770 0.5000 0.9441
Ga: 0.1837 0.0000 0.2926

Largest 6 diffraction maxima, low angle first, 5° ≤ 2θ ≤ 70°:
2theta  Rel. int.
29.9  100.0
30.0  74.8
31.5  62.3
33.2  77.1
35.4  70.2
39.0  85.2

---

For Nd3Er2Se6, a crystal structure in Alexandria, relaxed with GGA-PBE gives the calculated powder X-ray diffraction pattern in this record (Cu Kα X-rays).

Structure:
Cell: 4.1589 4.1589 62.3843 Å, 90.00 90.00 120.00°
Space group R-3m (No. 166, hexagonal axes)
Inequivalent atoms, fractional coordinates:
Nd: 0.0000 0.0000 0.0000
Nd: 0.0000 0.0000 0.2775
Er: 0.0000 0.0000 0.4480
Se: 0.0000 0.0000 0.0856
Se: 0.0000 0.0000 0.1971
Se: 0.0000 0.0000 0.3616

Largest 6 diffraction maxima, low angle first, 5° ≤ 2θ ≤ 70°:
2theta  Rel. int.
29.4  100.0
32.0  18.2
40.5  20.3
43.5  43.9
44.2  22.5
53.4  18.7

---

For Ti2Ge2Rh, a crystal structure in Alexandria, relaxed with GGA-PBE gives the calculated powder X-ray diffraction pattern in this record (Cu Kα X-rays).

Structure:
Cell: 4.1947 14.2154 5.3154 Å, 90.00 90.00 90.00°
Space group Cmc2_1 (No. 36)
Inequivalent atoms, fractional coordinates:
Ti: 0.0000 0.0006 0.0000
Ti: 0.0000 0.1979 0.3224
Ge: 0.0000 0.1853 0.8192
Ge: 0.0000 0.4197 0.7401
Rh: 0.0000 0.3995 0.2244

Largest 6 diffraction maxima, low angle first, 5° ≤ 2θ ≤ 70°:
2theta  Rel. int.
33.7  29.5
38.2  100.0
40.7  49.7
43.1  40.0
44.7  19.7
51.9  28.1

---

For HfTaZn4, a crystal structure in Alexandria, relaxed with GGA-PBE gives the calculated powder X-ray diffraction pattern in this record (Cu Kα X-rays).

Structure:
Cell: 7.2287 7.2287 7.2287 Å, 90.00 90.00 90.00°
Space group F-43m (No. 216)
Inequivalent atoms, fractional coordinates:
Hf: 0.0000 0.0000 0.0000
Ta: 0.2500 0.2500 0.2500
Zn: 0.1247 0.1247 0.6247

Largest 6 diffraction maxima, low angle first, 5° ≤ 2θ ≤ 70°:
2theta  Rel. int.
21.3  13.3
35.1  63.9
41.4  100.0
43.4  15.3
63.0  23.9
67.3  31.0

---

For Co6Ni3Pt2, a crystal structure in Alexandria, relaxed with GGA-PBE gives the calculated powder X-ray diffraction pattern in this record (Cu Kα X-rays).

Structure:
Cell: 8.8670 12.1191 2.5948 Å, 90.00 90.00 90.00°
Space group Cmmm (No. 65)
Inequivalent atoms, fractional coordinates:
Co: 0.0000 0.1583 0.0000
Co: 0.2222 0.3392 0.0000
Ni: 0.0000 0.3265 0.5000
Ni: 0.0000 0.5000 0.0000
Pt: 0.1596 0.0000 0.5000

Largest 6 diffraction maxima, low angle first, 5° ≤ 2θ ≤ 70°:
2theta  Rel. int.
12.4  45.1
31.1  48.0
37.7  100.0
42.6  68.1
44.9  55.4
47.2  57.2

---

For Ac8Tc2Ni, a crystal structure in Alexandria, relaxed with GGA-PBE gives the calculated powder X-ray diffraction pattern in this record (Cu Kα X-rays).

Structure:
Cell: 13.9132 8.7823 7.0653 Å, 90.00 106.32 90.00°
Space group C2/m (No. 12)
Inequivalent atoms, fractional coordinates:
Ac: 0.1092 0.0000 0.2546
Ac: 0.1312 0.5000 0.2569
Ac: 0.1336 0.2663 0.7643
Tc: 0.2143 0.0000 0.9702
Ni: 0.0000 0.5000 0.5000

Largest 6 diffraction maxima, low angle first, 5° ≤ 2θ ≤ 70°:
2theta  Rel. int.
25.8  78.9
26.3  40.6
26.7  38.2
29.4  100.0
31.9  41.1
43.7  36.5

---

For Be4InB12, a crystal structure in Alexandria, relaxed with GGA-PBE gives the calculated powder X-ray diffraction pattern in this record (Cu Kα X-rays).

Structure:
Cell: 5.2808 5.7853 5.9260 Å, 62.31 76.83 66.62°
Space group P-1 (No. 2)
Inequivalent atoms, fractional coordinates:
Be: 0.0000 0.0000 0.0000
Be: 0.0000 0.5000 0.0000
Be: 0.5000 0.0000 0.5000
Be: 0.5000 0.5000 0.5000
In: 0.0000 0.0000 0.5000
B: 0.1444 0.5140 0.5370
B: 0.1993 0.3428 0.3490
B: 0.3059 0.6683 0.2049
B: 0.3464 0.3012 0.8281
B: 0.3903 0.9429 0.9557
B: 0.3918 0.3840 0.0665

Largest 6 diffraction maxima, low angle first, 5° ≤ 2θ ≤ 70°:
2theta  Rel. int.
16.9  86.0
18.4  100.0
21.0  58.3
24.4  96.7
25.7  53.0
31.3  95.4

---

For NaTbTlCd, a crystal structure in Alexandria, relaxed with GGA-PBE gives the calculated powder X-ray diffraction pattern in this record (Cu Kα X-rays).

Structure:
Cell: 3.7132 5.3140 5.4094 Å, 90.00 90.00 90.00°
Space group Pmmm (No. 47)
Inequivalent atoms, fractional coordinates:
Na: 0.0000 0.0000 0.0000
Tb: 0.0000 0.5000 0.5000
Tl: 0.5000 0.0000 0.5000
Cd: 0.5000 0.5000 0.0000

Largest 6 diffraction maxima, low angle first, 5° ≤ 2θ ≤ 70°:
2theta  Rel. int.
16.4  21.6
33.1  21.1
33.8  100.0
48.0  14.9
59.6  15.5
60.4  14.9

---

For La3Y7Tm, a crystal structure in Alexandria, relaxed with GGA-PBE gives the calculated powder X-ray diffraction pattern in this record (Cu Kα X-rays).

Structure:
Cell: 6.5833 6.7752 8.7161 Å, 99.94 98.19 95.20°
Space group P-1 (No. 2)
Inequivalent atoms, fractional coordinates:
La: 0.0000 0.0000 0.0000
La: 0.1939 0.5625 0.1662
Y: 0.0104 0.7705 0.5786
Y: 0.2851 0.2766 0.7889
Y: 0.4389 0.7934 0.8516
Y: 0.5000 0.5000 0.5000
Tm: 0.5000 0.0000 0.5000

Largest 6 diffraction maxima, low angle first, 5° ≤ 2θ ≤ 70°:
2theta  Rel. int.
31.0  77.5
31.1  24.4
31.7  100.0
31.8  29.9
32.0  77.0
32.7  26.8

---

For TaFeNiPt, a crystal structure in Alexandria, relaxed with GGA-PBE gives the calculated powder X-ray diffraction pattern in this record (Cu Kα X-rays).

Structure:
Cell: 3.6632 3.7648 3.9434 Å, 90.00 90.00 90.00°
Space group Pmmm (No. 47)
Inequivalent atoms, fractional coordinates:
Ta: 0.0000 0.0000 0.0000
Fe: 0.5000 0.5000 0.0000
Ni: 0.5000 0.0000 0.5000
Pt: 0.0000 0.5000 0.5000

Largest 6 diffraction maxima, low angle first, 5° ≤ 2θ ≤ 70°:
2theta  Rel. int.
24.3  24.1
32.9  22.8
41.3  100.0
46.0  18.3
48.4  15.8
49.8  14.5

---

For Np3Tl2Se8, a crystal structure in Alexandria, relaxed with GGA-PBE gives the calculated powder X-ray diffraction pattern in this record (Cu Kα X-rays).

Structure:
Cell: 8.3566 8.3566 15.3128 Å, 90.00 90.00 120.00°
Space group P6_3mc (No. 186)
Inequivalent atoms, fractional coordinates:
Np: 0.1644 0.3289 0.0000
Tl: 0.3333 0.6667 0.2578
Tl: 0.3333 0.6667 0.6966
Se: 0.0000 0.0000 0.0991
Se: 0.0322 0.5161 0.0992
Se: 0.1549 0.3099 0.4050
Se: 0.3333 0.6667 0.9054

Largest 6 diffraction maxima, low angle first, 5° ≤ 2θ ≤ 70°:
2theta  Rel. int.
11.6  79.2
16.9  64.8
24.3  94.8
34.1  57.4
38.5  99.1
43.3  100.0

---

For LaNd3Sm8, a crystal structure in Alexandria, relaxed with GGA-PBE gives the calculated powder X-ray diffraction pattern in this record (Cu Kα X-rays).

Structure:
Cell: 6.5377 11.6170 11.6794 Å, 90.00 90.00 90.00°
Space group Immm (No. 71)
Inequivalent atoms, fractional coordinates:
La: 0.0000 0.0000 0.0000
Nd: 0.0000 0.0000 0.5000
Nd: 0.0000 0.5000 0.2468
Sm: 0.0000 0.1711 0.2504
Sm: 0.2470 0.2535 0.0000

Largest 6 diffraction maxima, low angle first, 5° ≤ 2θ ≤ 70°:
2theta  Rel. int.
30.6  58.6
30.9  100.0
31.4  76.0
35.0  44.2
50.5  25.2
64.4  27.5

---

For La2Er6Tm5, a crystal structure in Alexandria, relaxed with GGA-PBE gives the calculated powder X-ray diffraction pattern in this record (Cu Kα X-rays).

Structure:
Cell: 11.6540 20.0510 3.5596 Å, 90.00 90.00 90.00°
Space group Pbam (No. 55)
Inequivalent atoms, fractional coordinates:
La: 0.1647 0.2201 0.0000
Er: 0.0594 0.9241 0.0000
Er: 0.0782 0.6369 0.0000
Er: 0.1805 0.3791 0.5000
Tm: 0.0000 0.5000 0.5000
Tm: 0.0973 0.7810 0.5000
Tm: 0.2000 0.0520 0.5000

Largest 6 diffraction maxima, low angle first, 5° ≤ 2θ ≤ 70°:
2theta  Rel. int.
31.0  51.8
31.8  39.8
32.0  38.1
32.2  60.8
32.4  100.0
34.5  38.3